For K2RuAuF6, a DFT-relaxed cell (GGA-PBE, the Materials Project) gives the theoretical powder XRD pattern in this record (copper Kα).
Peak positions follow from Bragg's law for the DFT cell and can differ from measured ones.

Most intense lines, 10° ≤ 2θ ≤ 90°, by angle:
2θ = 20.0°, 4.444 Å, rel. 66; 2θ = 28.4°, 3.142 Å, rel. 100; 2θ = 33.4°, 2.680 Å, rel. 11; 2θ = 40.6°, 2.222 Å, rel. 38; 2θ = 45.7°, 1.987 Å, rel. 30; 2θ = 50.3°, 1.814 Å, rel. 40; 2θ = 58.8°, 1.571 Å, rel. 23; 2θ = 62.7°, 1.481 Å, rel. 15; 2θ = 66.5°, 1.405 Å, rel. 19; 2θ = 81.0°, 1.188 Å, rel. 21

Structural model:
```
data_K2RuAuF6
_symmetry_space_group_name_H-M 'F m -3 m'
_symmetry_Int_Tables_number 225
_symmetry_space_group_name_Hall '-F 4 2 3'
_cell_length_a 8.887
_cell_length_b 8.887
_cell_length_c 8.887
_cell_angle_alpha 90.00
_cell_angle_beta 90.00
_cell_angle_gamma 90.00
loop_
_atom_site_label
_atom_site_fract_x
_atom_site_fract_y
_atom_site_fract_z
K1 0.250 0.250 0.250
Ru1 0.000 0.000 0.000
Au1 0.000 0.000 0.500
F1 0.000 0.000 0.229
```



For K2ScAuF6, a DFT-relaxed cell (GGA-PBE, the Materials Project) gives the theoretical powder XRD pattern in this record (copper Kα).
Peak positions follow from Bragg's law for the DFT cell and can differ from measured ones.

Most intense lines, 10° ≤ 2θ ≤ 90°, by angle:
2θ = 17.1°, 5.192 Å, rel. 42; 2θ = 19.7°, 4.497 Å, rel. 57; 2θ = 28.1°, 3.180 Å, rel. 100; 2θ = 33.0°, 2.712 Å, rel. 39; 2θ = 40.1°, 2.248 Å, rel. 43; 2θ = 43.9°, 2.063 Å, rel. 24; 2θ = 45.1°, 2.011 Å, rel. 26; 2θ = 49.7°, 1.836 Å, rel. 39; 2θ = 58.0°, 1.590 Å, rel. 25; 2θ = 79.8°, 1.202 Å, rel. 21

Structural model:
```
data_K2ScAuF6
_symmetry_space_group_name_H-M 'F m -3 m'
_symmetry_Int_Tables_number 225
_symmetry_space_group_name_Hall '-F 4 2 3'
_cell_length_a 8.993
_cell_length_b 8.993
_cell_length_c 8.993
_cell_angle_alpha 90.00
_cell_angle_beta 90.00
_cell_angle_gamma 90.00
loop_
_atom_site_label
_atom_site_fract_x
_atom_site_fract_y
_atom_site_fract_z
K1 0.250 0.250 0.250
Sc1 0.000 0.000 0.000
Au1 0.000 0.000 0.500
F1 0.000 0.000 0.225
```



For K2TlAuF6, a DFT-relaxed cell (GGA-PBE, the Materials Project) gives the theoretical powder XRD pattern in this record (copper Kα).
Peak positions follow from Bragg's law for the DFT cell and can differ from measured ones.

Most intense lines, 10° ≤ 2θ ≤ 90°, by angle:
2θ = 19.3°, 4.599 Å, rel. 74; 2θ = 27.4°, 3.252 Å, rel. 100; 2θ = 39.2°, 2.299 Å, rel. 36; 2θ = 44.0°, 2.057 Å, rel. 38; 2θ = 48.5°, 1.877 Å, rel. 43; 2θ = 56.6°, 1.626 Å, rel. 23; 2θ = 60.4°, 1.533 Å, rel. 19; 2θ = 64.0°, 1.454 Å, rel. 19; 2θ = 77.7°, 1.229 Å, rel. 22; 2θ = 87.5°, 1.115 Å, rel. 11

Structural model:
```
data_K2TlAuF6
_symmetry_space_group_name_H-M 'F m -3 m'
_symmetry_Int_Tables_number 225
_symmetry_space_group_name_Hall '-F 4 2 3'
_cell_length_a 9.197
_cell_length_b 9.197
_cell_length_c 9.197
_cell_angle_alpha 90.00
_cell_angle_beta 90.00
_cell_angle_gamma 90.00
loop_
_atom_site_label
_atom_site_fract_x
_atom_site_fract_y
_atom_site_fract_z
K1 0.250 0.250 0.250
Tl1 0.000 0.000 0.000
Au1 0.000 0.000 0.500
F1 0.000 0.000 0.245
```



For K2YAuF6, a DFT-relaxed cell (GGA-PBE, the Materials Project) gives the theoretical powder XRD pattern in this record (copper Kα).
Peak positions follow from Bragg's law for the DFT cell and can differ from measured ones.

Most intense lines, 10° ≤ 2θ ≤ 90°, by angle:
2θ = 16.5°, 5.380 Å, rel. 15; 2θ = 19.0°, 4.659 Å, rel. 63; 2θ = 27.1°, 3.295 Å, rel. 100; 2θ = 38.6°, 2.330 Å, rel. 41; 2θ = 43.4°, 2.084 Å, rel. 31; 2θ = 47.8°, 1.902 Å, rel. 41; 2θ = 55.8°, 1.647 Å, rel. 26; 2θ = 59.5°, 1.553 Å, rel. 15; 2θ = 63.1°, 1.473 Å, rel. 19; 2θ = 76.5°, 1.245 Å, rel. 22

Structural model:
```
data_K2YAuF6
_symmetry_space_group_name_H-M 'F m -3 m'
_symmetry_Int_Tables_number 225
_symmetry_space_group_name_Hall '-F 4 2 3'
_cell_length_a 9.319
_cell_length_b 9.319
_cell_length_c 9.319
_cell_angle_alpha 90.00
_cell_angle_beta 90.00
_cell_angle_gamma 90.00
loop_
_atom_site_label
_atom_site_fract_x
_atom_site_fract_y
_atom_site_fract_z
K1 0.250 0.250 0.250
Y1 0.000 0.000 0.000
Au1 0.000 0.000 0.500
F1 0.000 0.000 0.233
```